No. 1
Calculated X-ray powder pattern
Compound: Sm4Dy4Ho5
Radiation: CuKα
Structure: DFT lattice parameters and positions (GGA-PBE)
Intensities are scaled so that the largest is 100.

Main lines, by angle (2θ = 10–80°):
(2 3 1), 30.76°, intensity 100
(5 1 0), 35.64°, intensity 34
(0 0 2), 35.74°, intensity 17
(5 1 2), 51.33°, intensity 36
(7 4 1), 61.00°, intensity 29
(2 3 3), 61.14°, intensity 14
(4 6 2), 64.08°, intensity 12
(10 2 0), 75.47°, intensity 4
(0 0 4), 75.71°, intensity 2

Crystal structure
Lattice parameters (Å, degrees): 12.846 12.846 5.025 90.00 90.00 90.00
Space group I4/m (No. 87)
Asymmetric unit:
Sm1 0.078 0.617 0.000 x8
Dy1 0.153 0.230 0.000 x8
Ho1 0.000 0.000 0.000 x2
Ho2 0.039 0.810 0.500 x8

***

No. 2
Calculated X-ray powder pattern
Compound: TlHgBr
Radiation: CuKα
Structure: DFT lattice parameters and positions (GGA-PBE)
Intensities are scaled so that the largest is 100.

Main lines, by angle (2θ = 10–80°):
(1 1 1), 20.78°, intensity 19
(3 0 0), 26.26°, intensity 51
(0 2 0), 26.76°, intensity 100
(3 2 0), 37.85°, intensity 79
(0 2 2), 38.21°, intensity 39
(3 2 2), 46.96°, intensity 43
(6 2 0), 61.32°, intensity 18
(3 4 0), 62.08°, intensity 19
(0 4 2), 62.33°, intensity 19
(3 4 2), 68.83°, intensity 28

Crystal structure
Lattice parameters (Å, degrees): 10.180 6.662 6.662 90.00 90.00 90.00
Space group Aem2 (No. 39)
Asymmetric unit:
Tl1 0.160 0.250 0.000 x4
Hg1 0.489 0.250 0.008 x4
Br1 0.164 0.250 0.500 x4